1.
Starting from the PBE geometry in Alexandria, the X-ray powder pattern of K2Be2Ir was calculated for Cu Kα.

Crystal structure
```
data_K2Be2Ir
_cell_length_a 2.9368
_cell_length_b 2.9368
_cell_length_c 22.5058
_cell_angle_alpha 90.00
_cell_angle_beta 90.00
_cell_angle_gamma 90.00
_symmetry_space_group_name_H-M 'I 4/m m m'
_symmetry_Int_Tables_number 139
_symmetry_space_group_name_Hall '-I 4 2'
loop_
_atom_site_label
_atom_site_type_symbol
_atom_site_fract_x
_atom_site_fract_y
_atom_site_fract_z
K1 K 0.0000 0.0000 0.1112
Be1 Be 0.0000 0.5000 0.2500
Ir1 Ir 0.0000 0.0000 0.5000
```

Main lines, in order of falling intensity (2θ = 15–90°):
| index | 2θ (°) | I (rel.) |
| --- | --- | --- |
| 1 0 3 | 32.75 | 100 |
| 1 0 5 | 36.53 | 99 |
| 0 0 4 | 15.75 | 41 |
| 1 1 2 | 44.36 | 38 |
| 0 0 8 | 31.81 | 36 |
| 1 0 1 | 30.70 | 35 |
| 1 0 7 | 41.65 | 30 |
| 1 1 0 | 43.58 | 28 |
| 1 1 8 | 54.96 | 24 |
| 2 1 5 | 75.39 | 23 |
| 1 1 10 | 60.68 | 22 |
| 1 0 13 | 62.25 | 20 |



2.
Starting from the PBE geometry in Alexandria, the X-ray powder pattern of NaZn3Ag10 was calculated for Cu Kα.

Crystal structure
```
data_NaZn3Ag10
_cell_length_a 12.9552
_cell_length_b 12.9552
_cell_length_c 12.9552
_cell_angle_alpha 90.00
_cell_angle_beta 90.00
_cell_angle_gamma 90.00
_symmetry_space_group_name_H-M 'F m -3 m'
_symmetry_Int_Tables_number 225
_symmetry_space_group_name_Hall '-F 4 2 3'
loop_
_atom_site_label
_atom_site_type_symbol
_atom_site_fract_x
_atom_site_fract_y
_atom_site_fract_z
Na1 Na 0.2500 0.2500 0.2500
Zn1 Zn 0.0000 0.0000 0.2268
Ag1 Ag 0.0000 0.1726 0.3274
Ag2 Ag 0.1214 0.1214 0.1214
```

Main lines, in order of falling intensity (2θ = 15–90°):
| index | 2θ (°) | I (rel.) |
| --- | --- | --- |
| 3 3 3 | 36.02 | 100 |
| 5 3 1 | 41.23 | 55 |
| 2 2 0 | 19.38 | 34 |
| 4 4 0 | 39.34 | 31 |
| 6 0 0 | 41.84 | 26 |
| 8 4 4 | 71.33 | 20 |
| 6 2 2 | 46.50 | 20 |
| 9 1 1 | 65.66 | 15 |
| 6 6 0 | 60.65 | 14 |
| 9 5 5 | 85.86 | 13 |
| 5 5 5 | 62.04 | 11 |
| 8 4 0 | 64.31 | 10 |



3.
Starting from the PBE geometry in Alexandria, the X-ray powder pattern of NaTl10In2 was calculated for Cu Kα.

Crystal structure
```
data_NaTl10In2
_cell_length_a 6.4193
_cell_length_b 15.9687
_cell_length_c 16.0890
_cell_angle_alpha 90.00
_cell_angle_beta 90.00
_cell_angle_gamma 90.00
_symmetry_space_group_name_H-M 'F m m m'
_symmetry_Int_Tables_number 69
_symmetry_space_group_name_Hall '-F 2 2'
loop_
_atom_site_label
_atom_site_type_symbol
_atom_site_fract_x
_atom_site_fract_y
_atom_site_fract_z
Na1 Na 0.0000 0.0000 0.0000
Tl1 Tl 0.0000 0.1064 0.3970
Tl2 Tl 0.0000 0.1788 0.1739
Tl3 Tl 0.2500 0.0000 0.2500
In1 In 0.2500 0.2500 0.0000
```

Main lines, in order of falling intensity (2θ = 15–90°):
| index | 2θ (°) | I (rel.) |
| --- | --- | --- |
| 0 4 4 | 31.59 | 100 |
| 0 6 2 | 35.50 | 61 |
| 2 2 2 | 32.05 | 58 |
| 2 0 4 | 35.79 | 53 |
| 1 5 1 | 31.79 | 52 |
| 2 4 0 | 35.90 | 48 |
| 2 6 6 | 56.52 | 45 |
| 1 3 3 | 27.39 | 39 |
| 1 5 3 | 35.58 | 34 |
| 0 2 6 | 35.31 | 34 |
| 1 1 1 | 15.87 | 31 |
| 2 0 0 | 27.80 | 20 |



4.
Starting from the PBE geometry in Alexandria, the X-ray powder pattern of CaBe2ReTc was calculated for Cu Kα.

Crystal structure
```
data_CaBe2ReTc
_cell_length_a 4.4906
_cell_length_b 4.4906
_cell_length_c 4.7197
_cell_angle_alpha 90.00
_cell_angle_beta 90.00
_cell_angle_gamma 90.00
_symmetry_space_group_name_H-M 'P 4/m m m'
_symmetry_Int_Tables_number 123
_symmetry_space_group_name_Hall '-P 4 2'
loop_
_atom_site_label
_atom_site_type_symbol
_atom_site_fract_x
_atom_site_fract_y
_atom_site_fract_z
Ca1 Ca 0.0000 0.0000 0.0000
Be1 Be 0.0000 0.5000 0.5000
Re1 Re 0.5000 0.5000 0.5000
Tc1 Tc 0.5000 0.5000 0.0000
```

Main lines, in order of falling intensity (2θ = 15–90°):
| index | 2θ (°) | I (rel.) |
| --- | --- | --- |
| 1 0 0 | 19.77 | 100 |
| 1 1 0 | 28.10 | 72 |
| 1 1 2 | 48.04 | 33 |
| 2 0 0 | 40.16 | 32 |
| 1 0 2 | 43.31 | 27 |
| 1 0 1 | 27.41 | 24 |
| 2 1 0 | 45.15 | 24 |
| 2 0 2 | 56.58 | 23 |
| 2 1 2 | 60.54 | 20 |
| 0 0 2 | 38.13 | 19 |
| 3 1 2 | 78.63 | 15 |
| 3 1 0 | 65.76 | 13 |



5.
Starting from the PBE geometry in Alexandria, the X-ray powder pattern of AcTmCd was calculated for Cu Kα.

Crystal structure
```
data_AcTmCd
_cell_length_a 3.8448
_cell_length_b 3.8448
_cell_length_c 13.0803
_cell_angle_alpha 90.00
_cell_angle_beta 90.00
_cell_angle_gamma 90.00
_symmetry_space_group_name_H-M 'I 4 m m'
_symmetry_Int_Tables_number 107
_symmetry_space_group_name_Hall 'I 4 -2'
loop_
_atom_site_label
_atom_site_type_symbol
_atom_site_fract_x
_atom_site_fract_y
_atom_site_fract_z
Ac1 Ac 0.0000 0.0000 0.0000
Tm1 Tm 0.0000 0.0000 0.3034
Cd1 Cd 0.0000 0.0000 0.6794
```

Main lines, in order of falling intensity (2θ = 15–90°):
| index | 2θ (°) | I (rel.) |
| --- | --- | --- |
| 1 0 3 | 31.01 | 100 |
| 1 1 0 | 32.95 | 47 |
| 2 1 3 | 57.63 | 35 |
| 2 0 0 | 47.28 | 17 |
| 1 1 6 | 53.91 | 15 |
| 1 0 1 | 24.13 | 13 |
| 1 0 7 | 54.61 | 11 |
| 1 1 4 | 43.28 | 10 |
| 2 2 0 | 69.10 | 10 |
| 2 0 6 | 64.64 | 9 |
| 0 0 4 | 27.27 | 9 |
| 2 1 7 | 75.08 | 9 |



6.
Starting from the PBE geometry in Alexandria, the X-ray powder pattern of ThAl2PtAu2 was calculated for Cu Kα.

Crystal structure
```
data_ThAl2PtAu2
_cell_length_a 4.7978
_cell_length_b 4.7978
_cell_length_c 5.6328
_cell_angle_alpha 90.00
_cell_angle_beta 90.00
_cell_angle_gamma 90.00
_symmetry_space_group_name_H-M 'P 4/m m m'
_symmetry_Int_Tables_number 123
_symmetry_space_group_name_Hall '-P 4 2'
loop_
_atom_site_label
_atom_site_type_symbol
_atom_site_fract_x
_atom_site_fract_y
_atom_site_fract_z
Th1 Th 0.0000 0.0000 0.0000
Al1 Al 0.0000 0.5000 0.5000
Pt1 Pt 0.0000 0.0000 0.5000
Au1 Au 0.5000 0.5000 0.2383
```

Main lines, in order of falling intensity (2θ = 15–90°):
| index | 2θ (°) | I (rel.) |
| --- | --- | --- |
| 1 1 0 | 26.27 | 100 |
| 1 0 2 | 37.01 | 95 |
| 2 1 2 | 53.70 | 66 |
| 2 0 0 | 37.49 | 53 |
| 3 2 2 | 79.70 | 22 |
| 3 1 0 | 61.08 | 20 |
| 2 2 0 | 54.06 | 19 |
| 3 0 2 | 67.33 | 17 |
| 2 0 4 | 78.81 | 12 |
| 1 1 4 | 72.70 | 12 |
| 4 0 0 | 79.99 | 6 |
| 0 0 4 | 66.38 | 5 |



7.
Starting from the PBE geometry in Alexandria, the X-ray powder pattern of Tl4Hg4Bi was calculated for Cu Kα.

Crystal structure
```
data_Tl4Hg4Bi
_cell_length_a 12.6783
_cell_length_b 12.6783
_cell_length_c 3.4156
_cell_angle_alpha 90.00
_cell_angle_beta 90.00
_cell_angle_gamma 90.00
_symmetry_space_group_name_H-M 'I 4/m'
_symmetry_Int_Tables_number 87
_symmetry_space_group_name_Hall '-I 4'
loop_
_atom_site_label
_atom_site_type_symbol
_atom_site_fract_x
_atom_site_fract_y
_atom_site_fract_z
Tl1 Tl 0.1444 0.8179 0.0000
Hg1 Hg 0.0377 0.3450 0.5000
Bi1 Bi 0.0000 0.0000 0.5000
```

Main lines, in order of falling intensity (2θ = 15–90°):
| index | 2θ (°) | I (rel.) |
| --- | --- | --- |
| 3 0 1 | 33.74 | 100 |
| 3 3 0 | 29.90 | 56 |
| 6 3 1 | 55.57 | 22 |
| 4 2 0 | 31.56 | 20 |
| 4 5 1 | 53.49 | 18 |
| 6 0 0 | 42.80 | 15 |
| 3 3 2 | 62.66 | 14 |
| 1 5 0 | 36.12 | 12 |
| 1 2 1 | 30.56 | 12 |
| 7 2 1 | 59.59 | 10 |
| 0 0 2 | 53.67 | 8 |
| 7 8 1 | 86.42 | 8 |



8.
Starting from the PBE geometry in Alexandria, the X-ray powder pattern of Pr3Pt7Rh2 was calculated for Cu Kα.

Crystal structure
```
data_Pr3Pt7Rh2
_cell_length_a 5.4661
_cell_length_b 5.4661
_cell_length_c 26.7153
_cell_angle_alpha 90.00
_cell_angle_beta 90.00
_cell_angle_gamma 120.00
_symmetry_space_group_name_H-M 'R -3 m'
_symmetry_Int_Tables_number 166
_symmetry_space_group_name_Hall '-R 3 2"'
loop_
_atom_site_label
_atom_site_type_symbol
_atom_site_fract_x
_atom_site_fract_y
_atom_site_fract_z
Pr1 Pr 0.0000 0.0000 0.0000
Pr2 Pr 0.0000 0.0000 0.1387
Pt1 Pt 0.0000 0.0000 0.5000
Pt2 Pt 0.0030 0.5015 0.9178
Rh1 Rh 0.0000 0.0000 0.3325
```

Main lines, in order of falling intensity (2θ = 15–90°):
| index | 2θ (°) | I (rel.) |
| --- | --- | --- |
| 1 1 6 | 38.65 | 100 |
| 2 0 5 | 41.76 | 59 |
| 0 2 1 | 38.17 | 38 |
| 0 0 12 | 40.49 | 35 |
| 0 1 8 | 32.80 | 34 |
| 2 0 14 | 62.47 | 31 |
| 2 2 0 | 68.69 | 25 |
| 2 2 12 | 82.89 | 20 |
| 0 2 7 | 45.07 | 20 |
| 1 0 1 | 19.04 | 18 |
| 1 0 7 | 30.08 | 15 |
| 0 0 6 | 19.94 | 13 |



9.
Starting from the PBE geometry in Alexandria, the X-ray powder pattern of Ba4YBi3O12 was calculated for Cu Kα.

Crystal structure
```
data_Ba4YBi3O12
_cell_length_a 8.7985
_cell_length_b 8.7985
_cell_length_c 8.7985
_cell_angle_alpha 90.00
_cell_angle_beta 90.00
_cell_angle_gamma 90.00
_symmetry_space_group_name_H-M 'I m -3 m'
_symmetry_Int_Tables_number 229
_symmetry_space_group_name_Hall '-I 4 2 3'
loop_
_atom_site_label
_atom_site_type_symbol
_atom_site_fract_x
_atom_site_fract_y
_atom_site_fract_z
Ba1 Ba 0.2500 0.2500 0.2500
Y1 Y 0.0000 0.0000 0.0000
Bi1 Bi 0.0000 0.0000 0.5000
O1 O 0.0000 0.0000 0.2537
O2 O 0.0000 0.2500 0.5000
```

Main lines, in order of falling intensity (2θ = 15–90°):
| index | 2θ (°) | I (rel.) |
| --- | --- | --- |
| 2 2 0 | 28.70 | 100 |
| 4 2 2 | 50.84 | 42 |
| 4 0 0 | 41.03 | 29 |
| 6 4 2 | 81.94 | 23 |
| 6 2 0 | 67.31 | 19 |
| 4 4 0 | 59.43 | 19 |
| 4 4 4 | 74.75 | 6 |
| 2 0 0 | 20.19 | 5 |
| 8 0 0 | 89.01 | 3 |
| 2 1 1 | 24.79 | 3 |
| 4 2 0 | 46.14 | 3 |
| 3 2 1 | 38.28 | 2 |



10.
Starting from the PBE geometry in Alexandria, the X-ray powder pattern of CsTl2InF6 was calculated for Cu Kα.

Crystal structure
```
data_CsTl2InF6
_cell_length_a 6.3893
_cell_length_b 7.2550
_cell_length_c 11.4032
_cell_angle_alpha 90.00
_cell_angle_beta 123.44
_cell_angle_gamma 90.00
_symmetry_space_group_name_H-M 'P 1 21/c 1'
_symmetry_Int_Tables_number 14
loop_
_symmetry_equiv_pos_as_xyz
'x,y,z'
'-x,-y,-z'
'-x,y+1/2,-z+1/2'
'x,-y+1/2,z+1/2'
loop_
_atom_site_label
_atom_site_type_symbol
_atom_site_fract_x
_atom_site_fract_y
_atom_site_fract_z
Cs1 Cs 0.0000 0.0000 0.0000
Tl1 Tl 0.2200 0.0328 0.7280
In1 In 0.5000 0.0000 0.5000
F1 F 0.1953 0.1426 0.4857
F2 F 0.2482 0.7235 0.8988
F3 F 0.4075 0.1023 0.3022
```

Main lines, in order of falling intensity (2θ = 15–90°):
| index | 2θ (°) | I (rel.) |
| --- | --- | --- |
| 1 1 1 | 26.28 | 100 |
| 1 1 -3 | 26.50 | 96 |
| 0 2 0 | 24.54 | 53 |
| 2 2 -2 | 37.52 | 43 |
| 2 0 -2 | 27.93 | 43 |
| 1 3 1 | 44.28 | 24 |
| 3 1 -1 | 48.29 | 22 |
| 1 3 -3 | 44.42 | 21 |
| 3 1 -5 | 48.68 | 21 |
| 0 2 4 | 45.60 | 21 |
| 0 0 4 | 37.82 | 19 |
| 3 3 -5 | 61.38 | 15 |